Theoretical X-ray diffraction stick pattern
Compound: Cd2NiRuO6
Radiation: Cu Kα (λ = 1.5418 Å)
Structure: DFT lattice parameters and positions (PBE+U)
No peak broadening, texture or thermal motion is included.

Most intense lines, 2θ from 10° to 90°, in order of rising 2θ:
2theta  I/Imax  h k l
18.09  10.2  0 0 1
30.22  100.0  1 1 1
34.20  34.3  2 0 0
36.64  10.6  0 0 2
44.28  10.4  1 1 2
49.14  21.1  2 2 0
50.99  23.7  2 0 2
58.78  28.8  3 1 1
62.04  10.2  1 1 3
82.93  11.8  3 1 3

Structural model:
abc: 5.2436 5.2436 4.9048
angles: 90.00 90.00 90.00
Space group P4mm (No. 99)
Asymmetric unit:
Cd  0.0000  0.5000  0.0000 x2
Ni  0.0000  0.0000  0.5715 x1
Ru  0.5000  0.5000  0.5666 x1
O  0.0000  0.0000  0.1780 x1
O  0.2610  0.2610  0.7069 x4
O  0.5000  0.5000  0.2107 x1